(1)
Calculated X-ray diffraction stick pattern
Compound: Li4P2O7
Radiation: Cu Kα (weighted mean of Kα1 and Kα2)
Structure: the PBE geometry in the Materials Project
Neutral-atom scattering factors, no anomalous dispersion.

Structural model:
Lattice parameters (Å, degrees): 5.2605 7.2155 8.6620 77.33 89.98 68.88
Space group P-1 (No. 2)
Unique sites:
Li 0.0278 0.3277 0.2913
Li 0.0570 0.2419 0.9508
Li 0.2555 0.8550 0.5120
Li 0.3957 0.5887 0.2517
P 0.2157 0.2208 0.6545
P 0.4260 0.7867 0.8680
O 0.0061 0.6057 0.2907
O 0.1171 0.1514 0.5180
O 0.2669 0.0376 0.8161
O 0.2674 0.2566 0.1235
O 0.3148 0.7322 0.0262
O 0.3382 0.7024 0.7365
O 0.4801 0.2582 0.6257

The 8 most intense peaks (2θ = 10–80°), sorted by position:
4.881 Å, I = 11, (1 1 0); 4.393 Å, I = 100, (1 0 -1); 3.993 Å, I = 26, (0 1 2); 3.335 Å, I = 22, (1 1 2); 3.271 Å, I = 48, (0 2 0); 3.213 Å, I = 38, (0 1 -2); 2.890 Å, I = 14, (1 2 2); 2.630 Å, I = 22, (2 1 0)

=====

(2)
Calculated X-ray diffraction stick pattern
Compound: Li10Zn3Ge4O16
Radiation: Cu Kα (weighted mean of Kα1 and Kα2)
Structure: the PBE geometry in the Materials Project
Neutral-atom scattering factors, no anomalous dispersion.

Structural model:
Lattice parameters (Å, degrees): 5.2313 6.3912 10.9988 90.21 90.37 90.42
Space group P1 (No. 1)
Unique sites:
Li 0.0000 0.0000 0.0000
Li 0.0006 0.2449 0.7623
Li 0.1308 0.4987 0.5020
Li 0.1669 0.2515 0.2730
Li 0.4520 0.9751 0.1703
Li 0.4669 0.5223 0.1740
Li 0.4989 0.7469 0.4097
Li 0.6143 0.7657 0.9188
Li 0.6298 0.9977 0.6693
Li 0.7910 0.2233 0.1461
Zn 0.0031 0.5086 0.9991
Zn 0.1317 0.0034 0.5032
Zn 0.6275 0.5039 0.6683
Ge 0.1326 0.7504 0.7488
Ge 0.4931 0.2508 0.9247
Ge 0.6379 0.2509 0.4191
Ge 0.9663 0.7592 0.2507
O 0.0136 0.7598 0.8995
O 0.0183 0.5209 0.6737
O 0.0188 0.9780 0.6734
O 0.0737 0.9924 0.1758
O 0.0795 0.5210 0.1756
O 0.1041 0.7487 0.3997
O 0.1501 0.2530 0.9263
O 0.4742 0.7510 0.7506
O 0.5192 0.4766 0.4973
O 0.5202 0.0259 0.4979
O 0.5338 0.2533 0.2656
O 0.6042 0.2483 0.7722
O 0.6095 0.4770 0.0059
O 0.6126 0.0367 0.0096
O 0.6298 0.7537 0.2500
O 0.9798 0.2517 0.4256

The 8 most intense peaks (2θ = 10–80°), sorted by position:
4.170 Å, I = 100, (0 1 -2); 4.063 Å, I = 73, (1 -1 0); 3.796 Å, I = 34, (1 1 -1); 3.778 Å, I = 33, (1 1 1); 2.767 Å, I = 35, (0 2 -2); 2.758 Å, I = 38, (0 2 2); 2.750 Å, I = 38, (0 0 4); 2.616 Å, I = 56, (2 0 0)